# Li4Cr3FeO8
Computed X-ray powder pattern, copper Kα. Input: a PBE+U-relaxed structure.

Peak list (8 most intense, 2θ = 5–70°, low angle first)
2θ (°)  I (rel.)  index
18.36  100.0  1 0 0
35.70  40.1  1 2 3
43.34  79.5  2 2 3
47.44  12.4  2 0 4
57.27  13.9  3 2 3
62.88  20.7  3 0 4
63.05  21.7  1 4 2
66.28  13.6  2 4 2

Cell lengths 5.124, 5.897, 10.631 Å; angles 73.91, 76.16, 73.28 degrees
Space group P-1 (No. 2)
Unique sites:
1 Li 0.000 0.189 0.374
2 Li 0.002 0.440 0.872
3 Li 0.005 0.934 0.875
4 Li 0.006 0.685 0.374
5 Cr 0.500 0.000 0.500
6 Cr 0.500 0.125 0.750
7 Cr 0.500 0.252 0.000
8 Cr 0.500 0.500 0.500
9 Fe 0.500 0.375 0.250
10 O 0.274 0.089 0.936
11 O 0.274 0.839 0.435
12 O 0.276 0.340 0.433
13 O 0.276 0.590 0.933
14 O 0.276 0.709 0.187
15 O 0.276 0.960 0.687
16 O 0.277 0.216 0.186
17 O 0.277 0.466 0.686